Computed X-ray diffraction stick pattern of ZnCo6 for Cu Kα X-rays, from a structure optimized by DFT (PBE).

Peak list (10 most intense, 10° ≤ 2θ ≤ 90°, in order of rising 2θ)
(hkl)	d_spacing	Position (°2θ)	I (rel.)
1 1 0	4.230	21.0	16.5
2 0 0	2.991	29.9	44.3
2 1 1	2.442	36.8	100.0
3 1 0	1.892	48.1	3.1
2 2 2	1.727	53.0	25.5
3 2 1	1.599	57.7	50.1
4 0 0	1.496	62.1	25.1
4 2 0	1.338	70.4	13.1
3 3 2	1.275	74.4	11.0
5 2 1	1.092	89.8	13.4

Atomic structure:
```
data_ZnCo6
_chemical_formula_sum 'Zn2 Co12'
_cell_length_a 5.983
_cell_length_b 5.983
_cell_length_c 5.983
_cell_angle_alpha 90.00
_cell_angle_beta 90.00
_cell_angle_gamma 90.00
_space_group_name_H-M_alt 'I m -3 m'
_space_group_IT_number 229
_space_group_name_Hall '-I 4 2 3'
loop_
_atom_site_label
_atom_site_fract_x
_atom_site_fract_y
_atom_site_fract_z
Zn1 0.000 0.000 0.000
Co1 0.000 0.250 0.500
```